No. 1
Structure and theoretical powder X-ray diffraction pattern of Rb4GeTe4 (a cell relaxed with GGA-PBE; Cu Kα (weighted mean of Kα1 and Kα2)).
Lines closer than 0.1° are merged.

Most intense lines, 2θ = 10–90°, in order of rising 2θ:
Position (°2θ)  I/Imax
12.06  49
19.23  100
24.08  36
29.53  32
29.97  62
32.00  19
32.14  17
32.68  40
36.74  22
47.82  19

Crystal structure
```
Rb4GeTe4
1.0
-4.279 4.279 7.136
4.279 -4.279 7.136
4.279 4.279 -7.136
Rb Ge Te
4 1 4
direct
0.000 0.500 0.500
0.191 0.191 0.000
0.500 0.000 0.500
0.809 0.809 0.000
0.500 0.500 0.000
0.213 0.213 0.648
0.435 0.787 0.000
0.565 0.565 0.352
0.787 0.435 0.000
```

***

No. 2
Structure and theoretical powder X-ray diffraction pattern of Ac5Zr2O12 (a cell relaxed with GGA-PBE; Cu Kα (weighted mean of Kα1 and Kα2)).
Lines closer than 0.1° are merged.

Most intense lines, 2θ = 10–90°, in order of rising 2θ:
Position (°2θ)  I/Imax
24.84  94
26.10  100
27.52  26
30.36  28
30.54  27
41.44  22
41.57  19
45.14  23
47.06  17
47.80  20

Crystal structure
```
Ac5Zr2O12
1.0
6.747 -3.241 0.000
6.747 3.241 0.000
-2.346 0.000 7.683
Ac Zr O
5 2 12
direct
0.000 0.000 0.000
0.303 0.303 0.660
0.308 0.308 0.144
0.692 0.692 0.856
0.697 0.697 0.340
0.241 0.759 0.500
0.759 0.241 0.500
0.000 0.000 0.323
0.000 0.000 0.677
0.092 0.597 0.924
0.107 0.568 0.417
0.403 0.908 0.076
0.432 0.893 0.583
0.498 0.498 0.675
0.502 0.502 0.325
0.568 0.107 0.417
0.597 0.092 0.924
0.893 0.432 0.583
0.908 0.403 0.076
```

***

No. 3
Structure and theoretical powder X-ray diffraction pattern of Ce2Sn2O7 (a cell relaxed with GGA-PBE; Cu Kα (weighted mean of Kα1 and Kα2)).
Lines closer than 0.1° are merged.

Most intense lines, 2θ = 10–90°, in order of rising 2θ:
Position (°2θ)  I/Imax
28.79  100
33.37  33
36.46  2
47.91  49
56.86  45
59.64  10
70.09  7
77.47  19
79.88  15
89.37  15

Crystal structure
```
Ce2Sn2O7
1.0
0.000 5.371 5.371
5.371 0.000 5.371
5.371 5.371 0.000
Ce Sn O
4 4 14
direct
0.000 0.000 0.000
0.000 0.000 0.500
0.000 0.500 0.000
0.500 0.000 0.000
0.000 0.500 0.500
0.500 0.000 0.500
0.500 0.500 0.000
0.500 0.500 0.500
0.125 0.125 0.125
0.164 0.164 0.586
0.164 0.586 0.164
0.164 0.586 0.586
0.414 0.414 0.836
0.414 0.836 0.414
0.414 0.836 0.836
0.586 0.164 0.164
0.586 0.164 0.586
0.586 0.586 0.164
0.836 0.414 0.414
0.836 0.414 0.836
0.836 0.836 0.414
0.875 0.875 0.875
```

***

No. 4
Structure and theoretical powder X-ray diffraction pattern of VZnFe14 (a cell relaxed with GGA-PBE; Cu Kα (weighted mean of Kα1 and Kα2)).
Lines closer than 0.1° are merged.

Most intense lines, 2θ = 10–90°, in order of rising 2θ:
Position (°2θ)  I/Imax
44.85  100
65.22  5
65.35  10
82.70  19
82.76  10

Crystal structure
```
VZnFe14
1.0
2.861 -4.038 0.000
2.861 4.038 0.000
0.000 0.000 8.080
V Zn Fe
1 1 14
direct
0.000 0.000 0.000
0.500 0.500 0.000
0.000 0.000 0.500
0.000 0.500 0.000
0.000 0.500 0.500
0.247 0.247 0.253
0.247 0.247 0.747
0.252 0.748 0.250
0.252 0.748 0.750
0.500 0.000 0.000
0.500 0.000 0.500
0.500 0.500 0.500
0.748 0.252 0.250
0.748 0.252 0.750
0.753 0.753 0.253
0.753 0.753 0.747
```

***

No. 5
Structure and theoretical powder X-ray diffraction pattern of Y2TlIrO8 (a cell relaxed with GGA-PBE; Cu Kα (weighted mean of Kα1 and Kα2)).
Lines closer than 0.1° are merged.

Most intense lines, 2θ = 10–90°, in order of rising 2θ:
Position (°2θ)  I/Imax
17.98  30
24.93  55
26.14  47
31.10  100
35.71  12
36.43  26
47.93  38
49.32  35
62.26  20
64.84  12

Crystal structure
```
Y2TlIrO8
1.0
4.936 0.000 0.000
0.000 7.080 0.000
-0.230 0.000 4.935
Y Tl Ir O
2 1 1 8
direct
0.000 0.246 0.000
0.000 0.754 0.000
0.500 0.500 0.500
0.500 0.000 0.500
0.199 0.500 0.197
0.219 0.000 0.217
0.314 0.197 0.684
0.314 0.803 0.684
0.686 0.197 0.316
0.686 0.803 0.316
0.781 0.000 0.783
0.801 0.500 0.803
```

***

No. 6
Structure and theoretical powder X-ray diffraction pattern of Pm4NdIr3 (a cell relaxed with GGA-PBE; Cu Kα (weighted mean of Kα1 and Kα2)).
Lines closer than 0.1° are merged.

Most intense lines, 2θ = 10–90°, in order of rising 2θ:
Position (°2θ)  I/Imax
28.77  25
31.88  59
32.90  61
35.37  60
35.68  100
36.61  37
43.20  30
55.57  28
65.47  22
66.62  25

Crystal structure
```
Pm4NdIr3
1.0
-5.675 5.675 3.103
5.675 -5.675 3.103
5.675 5.675 -3.103
Pm Nd Ir
8 2 6
direct
0.084 0.791 0.876
0.209 0.084 0.293
0.291 0.584 0.876
0.416 0.291 0.707
0.584 0.709 0.293
0.709 0.416 0.124
0.791 0.916 0.707
0.916 0.209 0.124
0.250 0.750 0.500
0.750 0.250 0.500
0.157 0.343 0.500
0.250 0.250 0.000
0.343 0.843 0.187
0.657 0.157 0.813
0.750 0.750 0.000
0.843 0.657 0.500
```

***

No. 7
Structure and theoretical powder X-ray diffraction pattern of Ti4Mo2Pt (a cell relaxed with GGA-PBE; Cu Kα (weighted mean of Kα1 and Kα2)).
Lines closer than 0.1° are merged.

Most intense lines, 2θ = 10–90°, in order of rising 2θ:
Position (°2θ)  I/Imax
20.08  68
28.95  15
35.49  33
40.82  100
41.40  48
54.72  10
59.99  15
73.93  16
75.11  31
88.46  11

Crystal structure
```
Ti4Mo2Pt
1.0
6.168 0.000 0.000
0.000 6.168 0.000
0.000 0.000 6.340
Ti Mo Pt
8 4 2
direct
0.250 0.250 0.250
0.250 0.250 0.750
0.250 0.750 0.250
0.250 0.750 0.750
0.750 0.250 0.250
0.750 0.250 0.750
0.750 0.750 0.250
0.750 0.750 0.750
0.000 0.500 0.000
0.000 0.500 0.500
0.500 0.000 0.000
0.500 0.000 0.500
0.000 0.000 0.000
0.500 0.500 0.500
```

***

No. 8
Structure and theoretical powder X-ray diffraction pattern of Y2TmBi (a cell relaxed with GGA-PBE; Cu Kα (weighted mean of Kα1 and Kα2)).
Lines closer than 0.1° are merged.

Most intense lines, 2θ = 10–90°, in order of rising 2θ:
Position (°2θ)  I/Imax
27.45  76
29.70  56
31.84  43
33.80  100
38.49  34
39.07  32
39.23  30
50.78  23
51.25  23
56.00  23

Crystal structure
```
Y2TmBi
1.0
4.678 0.000 0.000
0.000 22.488 0.000
0.000 0.000 4.611
Y Tm Bi
8 4 4
direct
0.000 0.061 0.250
0.000 0.437 0.250
0.000 0.563 0.750
0.000 0.939 0.750
0.500 0.063 0.750
0.500 0.439 0.750
0.500 0.561 0.250
0.500 0.937 0.250
0.000 0.311 0.750
0.000 0.689 0.250
0.500 0.189 0.250
0.500 0.811 0.750
0.000 0.171 0.750
0.000 0.829 0.250
0.500 0.329 0.250
0.500 0.671 0.750
```

***

No. 9
Structure and theoretical powder X-ray diffraction pattern of YHo3Hg2 (a cell relaxed with GGA-PBE; Cu Kα (weighted mean of Kα1 and Kα2)).
Lines closer than 0.1° are merged.

Most intense lines, 2θ = 10–90°, in order of rising 2θ:
Position (°2θ)  I/Imax
29.07  31
30.82  29
31.96  29
32.36  100
34.16  99
35.27  64
42.93  28
48.30  25
61.47  16
62.58  17

Crystal structure
```
YHo3Hg2
1.0
5.090 0.000 0.000
0.000 9.191 0.000
0.000 0.000 7.062
Y Ho Hg
2 6 4
direct
0.000 0.055 0.000
0.000 0.945 0.500
0.000 0.326 0.653
0.000 0.674 0.153
0.500 0.176 0.315
0.500 0.444 0.968
0.500 0.556 0.468
0.500 0.824 0.815
0.000 0.351 0.222
0.000 0.649 0.722
0.500 0.149 0.745
0.500 0.851 0.245
```

***

No. 10
Structure and theoretical powder X-ray diffraction pattern of TlAsPtO5 (a cell relaxed with GGA-PBE; Cu Kα (weighted mean of Kα1 and Kα2)).
Lines closer than 0.1° are merged.

Most intense lines, 2θ = 10–90°, in order of rising 2θ:
Position (°2θ)  I/Imax
24.14  78
29.60  59
29.71  100
32.61  94
36.12  40
43.86  22
48.06  26
52.50  24
54.47  24
60.88  25

Crystal structure
```
TlAsPtO5
1.0
3.222 -4.623 0.000
3.222 4.623 0.000
-2.964 0.000 7.921
Tl As Pt O
2 2 2 10
direct
0.000 0.000 0.000
0.000 0.000 0.500
0.323 0.677 0.750
0.677 0.323 0.250
0.299 0.701 0.250
0.701 0.299 0.750
0.030 0.636 0.808
0.091 0.909 0.250
0.297 0.427 0.585
0.364 0.970 0.692
0.427 0.297 0.085
0.573 0.703 0.915
0.636 0.030 0.308
0.703 0.573 0.415
0.909 0.091 0.750
0.970 0.364 0.192
```

***

No. 11
Structure and theoretical powder X-ray diffraction pattern of Na5B7C3 (a cell relaxed with GGA-PBE; Cu Kα (weighted mean of Kα1 and Kα2)).
Lines closer than 0.1° are merged.

Most intense lines, 2θ = 10–90°, in order of rising 2θ:
Position (°2θ)  I/Imax
34.97  8
36.26  13
40.98  36
42.12  100
56.77  7
63.56  12
76.99  11
79.22  12
80.75  7
81.51  6

Crystal structure
```
Na5B7C3
1.0
8.581 0.000 0.000
0.000 1.414 12.830
0.000 -1.414 12.830
Na B C
10 14 6
direct
0.245 0.000 0.000
0.246 0.200 0.200
0.246 0.600 0.600
0.248 0.799 0.799
0.249 0.400 0.400
0.751 0.400 0.400
0.752 0.799 0.799
0.754 0.200 0.200
0.754 0.600 0.600
0.755 0.000 0.000
0.000 0.073 0.073
0.000 0.266 0.266
0.000 0.460 0.460
0.000 0.533 0.533
0.000 0.669 0.669
0.000 0.863 0.863
0.500 0.132 0.132
0.500 0.264 0.264
0.500 0.328 0.328
0.500 0.474 0.474
0.500 0.541 0.541
0.500 0.723 0.723
0.500 0.870 0.870
0.500 0.935 0.935
0.000 0.137 0.137
0.000 0.331 0.331
0.000 0.734 0.734
0.000 0.928 0.928
0.500 0.070 0.070
0.500 0.663 0.663
```

***

No. 12
Structure and theoretical powder X-ray diffraction pattern of Tb3Sm2Er4 (a cell relaxed with GGA-PBE; Cu Kα (weighted mean of Kα1 and Kα2)).
Lines closer than 0.1° are merged.

Most intense lines, 2θ = 10–90°, in order of rising 2θ:
Position (°2θ)  I/Imax
28.51  13
30.40  58
30.95  100
31.89  93
37.71  31
38.13  26
50.46  13
51.46  11
56.20  20
58.57  12

Crystal structure
```
Tb3Sm2Er4
1.0
8.133 -5.770 0.000
8.133 5.770 0.000
-0.646 0.000 6.068
Tb Sm Er
6 4 8
direct
0.097 0.903 0.750
0.238 0.432 0.903
0.432 0.238 0.403
0.568 0.762 0.597
0.762 0.568 0.097
0.903 0.097 0.250
0.020 0.734 0.177
0.266 0.980 0.323
0.734 0.020 0.677
0.980 0.266 0.823
0.077 0.355 0.349
0.313 0.595 0.484
0.355 0.077 0.849
0.405 0.687 0.016
0.595 0.313 0.984
0.645 0.923 0.151
0.687 0.405 0.516
0.923 0.645 0.651
```